For ZnC4N2Cl4, a structure optimized by DFT (PBE) gives the computed powder diffractogram in this record (Cu Kα (weighted mean of Kα1 and Kα2)).
No peak broadening, texture or thermal motion is included.

Atomic structure:
Lattice parameters (Å, degrees): 7.580 12.005 15.225 90.00 116.62 90.00
Space group P2_1/c (No. 14)
One atom of each set of equivalent atoms:
Zn1 0.088 0.186 0.367 x4
C1 0.052 0.140 0.130 x4
C2 0.286 0.725 0.428 x4
C3 0.294 0.570 0.210 x4
C4 0.482 0.515 0.855 x4
N1 0.123 0.691 0.411 x4
N2 0.398 0.530 0.164 x4
Cl1 0.005 0.012 0.382 x4
Cl2 0.197 0.177 0.074 x4
Cl3 0.245 0.727 0.171 x4
Cl4 0.275 0.201 0.842 x4

Peak list (10 most intense, 2θ = 5–70°, in order of rising 2θ)
| h k l | 2θ/deg | I (rel.) |
| --- | --- | --- |
| 0 1 1 | 9.82 | 42 |
| 1 0 0 | 13.06 | 96 |
| 0 2 0 | 14.76 | 63 |
| 0 1 2 | 14.97 | 100 |
| 0 2 1 | 16.14 | 67 |
| 1 0 -4 | 23.39 | 51 |
| 0 2 3 | 24.59 | 42 |
| 0 0 4 | 26.19 | 67 |
| 0 1 4 | 27.24 | 56 |
| 2 2 0 | 30.30 | 36 |